No. 1
The following is a calculated XRD peak list of SrGeS. It was derived from a cell relaxed with GGA-PBE, using Cu Kα X-rays.
Peak positions follow from Bragg's law for the DFT cell and can differ from measured ones.

The 10 most intense peaks (2θ from 15° to 90°), low angle first:
2θ (°), I_rel, (hkl)
26.15, 50, 0 0 2
29.26, 100, 2 1 1
30.14, 15, 2 0 2
33.82, 55, 3 1 1
34.60, 50, 3 0 2
43.54, 22, 0 2 0
45.41, 27, 0 1 3
45.78, 25, 5 1 1
56.77, 23, 3 2 2
60.41, 15, 5 1 3

Crystal structure
Lattice parameters (Å, degrees): 11.9421 4.1570 6.8329 90.00 90.00 90.00
Space group Amm2 (No. 38)
Inequivalent atoms, fractional coordinates:
1 Sr 0.2015 0.0000 0.0000
2 Ge 0.0000 0.0000 0.6612
3 Ge 0.5000 0.0000 0.4125
4 S 0.3538 0.0000 0.6579

***

No. 2
The following is a calculated XRD peak list of TaGe2S8. It was derived from a cell relaxed with GGA-PBE, using Cu Kα X-rays.
Peak positions follow from Bragg's law for the DFT cell and can differ from measured ones.

The 10 most intense peaks (2θ from 15° to 90°), low angle first:
2θ (°), I_rel, (hkl)
20.33, 100, 0 2 0
21.64, 49, 1 1 1
27.80, 38, 3 1 -1
29.08, 81, 2 2 -1
31.50, 70, 3 1 1
34.75, 41, 1 1 -2
36.39, 33, 4 0 1
38.98, 37, 5 1 0
40.51, 76, 3 3 -1
53.30, 31, 4 2 2

Crystal structure
Lattice parameters (Å, degrees): 12.1074 8.7352 5.4216 90.00 98.26 90.00
Space group C2/m (No. 12)
Inequivalent atoms, fractional coordinates:
1 Ta 0.0000 0.0000 0.0000
2 Ge 0.1854 0.0000 0.5984
3 S 0.0549 0.1916 0.6857
4 S 0.1556 0.5000 0.1893
5 S 0.1909 0.0000 0.1865

***

No. 3
The following is a calculated XRD peak list of TbGeS3. It was derived from a cell relaxed with GGA-PBE, using Cu Kα X-rays.
Peak positions follow from Bragg's law for the DFT cell and can differ from measured ones.

The 10 most intense peaks (2θ from 15° to 90°), low angle first:
2θ (°), I_rel, (hkl)
15.64, 24, 0 1 1
16.24, 63, 0 0 2
20.24, 42, 1 1 1
24.73, 100, 1 1 2
27.00, 25, 2 0 1
30.86, 29, 1 1 3
31.00, 25, 1 2 1
37.94, 38, 1 1 4
38.47, 48, 2 2 1
48.67, 25, 3 1 3

Crystal structure
Lattice parameters (Å, degrees): 6.9300 6.6309 10.9172 90.00 90.00 90.00
Space group Pna2_1 (No. 33)
Inequivalent atoms, fractional coordinates:
1 Tb 0.0990 0.0664 0.0000
2 Ge 0.0807 0.5393 0.1648
3 S 0.0934 0.6689 0.3571
4 S 0.1602 0.2418 0.5602
5 S 0.1602 0.7520 0.6617

***

No. 4
The following is a calculated XRD peak list of Tb4GeS3. It was derived from a cell relaxed with GGA-PBE, using Cu Kα X-rays.
Peak positions follow from Bragg's law for the DFT cell and can differ from measured ones.

The 10 most intense peaks (2θ from 15° to 90°), low angle first:
2θ (°), I_rel, (hkl)
15.69, 1, 1 0 0
27.35, 61, 1 1 1
31.69, 100, 2 0 0
45.43, 73, 2 2 0
53.84, 30, 3 1 1
56.45, 25, 2 2 2
66.20, 12, 4 0 0
73.03, 12, 3 3 1
75.25, 32, 4 2 0
83.95, 25, 4 2 2

Crystal structure
Lattice parameters (Å, degrees): 5.6471 5.6471 5.6471 90.00 90.00 90.00
Space group Pm-3m (No. 221)
Inequivalent atoms, fractional coordinates:
1 Tb 0.0000 0.0000 0.0000
2 Tb 0.0000 0.5000 0.5000
3 Ge 0.5000 0.5000 0.5000
4 S 0.0000 0.0000 0.5000

***

No. 5
The following is a calculated XRD peak list of Tb4GeTe2S. It was derived from a cell relaxed with GGA-PBE, using Cu Kα X-rays.
Peak positions follow from Bragg's law for the DFT cell and can differ from measured ones.

The 10 most intense peaks (2θ from 15° to 90°), low angle first:
2θ (°), I_rel, (hkl)
29.93, 100, 1 1 1
32.46, 8, 1 1 -2
42.14, 22, 1 1 -3
42.41, 11, 2 0 2
43.26, 13, 0 2 0
43.53, 25, 3 1 -1
53.49, 13, 2 2 -2
62.19, 12, 2 2 2
69.53, 8, 0 2 4
71.53, 11, 4 2 0

Crystal structure
Lattice parameters (Å, degrees): 7.1890 4.1830 7.4953 90.00 108.98 90.00
Space group P2/m (No. 10)
Inequivalent atoms, fractional coordinates:
1 Tb 0.2374 0.0000 0.2125
2 Tb 0.2608 0.5000 0.7825
3 Ge 0.5000 0.0000 0.0000
4 Te 0.0000 0.0000 0.5000
5 Te 0.5000 0.5000 0.5000
6 S 0.0000 0.5000 0.0000

***

No. 6
The following is a calculated XRD peak list of Y8GeTe4S3. It was derived from a cell relaxed with GGA-PBE, using Cu Kα X-rays.
Peak positions follow from Bragg's law for the DFT cell and can differ from measured ones.

The 10 most intense peaks (2θ from 15° to 90°), low angle first:
2θ (°), I_rel, (hkl)
25.33, 12, 0 2 1
30.25, 100, 0 2 4
32.88, 17, 2 0 5
42.63, 32, 2 0 8
43.98, 37, 2 2 0
54.30, 19, 4 0 4
59.77, 11, 2 2 9
62.90, 16, 0 4 8
72.35, 16, 2 4 4
79.92, 13, 4 2 8

Crystal structure
Lattice parameters (Å, degrees): 8.2361 8.2361 21.1055 90.00 90.00 120.00
Space group R-3m (No. 166, hexagonal axes)
Inequivalent atoms, fractional coordinates:
1 Y 0.0000 0.0000 0.2349
2 Y 0.0022 0.5011 0.7632
3 Ge 0.0000 0.0000 0.5000
4 Te 0.0000 0.0000 0.0000
5 Te 0.0000 0.5000 0.0000
6 S 0.0000 0.5000 0.5000

***

No. 7
The following is a calculated XRD peak list of Th3GeS2. It was derived from a cell relaxed with GGA-PBE, using Cu Kα X-rays.
Peak positions follow from Bragg's law for the DFT cell and can differ from measured ones.

The 10 most intense peaks (2θ from 15° to 90°), low angle first:
2θ (°), I_rel, (hkl)
26.14, 41, 1 1 0
26.62, 39, 0 1 3
30.55, 100, 0 2 0
43.16, 13, 2 0 0
43.74, 50, 1 2 3
51.43, 14, 2 1 3
52.24, 13, 1 1 6
53.78, 14, 2 2 0
54.83, 13, 0 2 6
72.18, 23, 1 4 3

Crystal structure
Lattice parameters (Å, degrees): 4.1924 5.8572 12.2449 90.00 90.00 90.00
Space group Immm (No. 71)
Inequivalent atoms, fractional coordinates:
1 Th 0.0000 0.0000 0.0000
2 Th 0.0000 0.0000 0.3286
3 Ge 0.0000 0.5000 0.0000
4 S 0.0000 0.5000 0.3366

***

No. 8
The following is a calculated XRD peak list of ThGe2S6. It was derived from a cell relaxed with GGA-PBE, using Cu Kα X-rays.
Peak positions follow from Bragg's law for the DFT cell and can differ from measured ones.

The 10 most intense peaks (2θ from 15° to 90°), low angle first:
2θ (°), I_rel, (hkl)
15.56, 100, 1 1 -1
19.73, 84, 1 1 1
23.06, 86, 2 2 -1
23.41, 68, 3 1 0
25.68, 33, 1 3 0
28.84, 65, 2 2 1
32.69, 46, 4 0 -2
35.99, 46, 0 4 1
36.37, 32, 1 3 -2
43.31, 37, 2 2 -3

Crystal structure
Lattice parameters (Å, degrees): 13.0370 10.8575 6.7912 90.00 110.99 90.00
Space group C2/c (No. 15)
Inequivalent atoms, fractional coordinates:
1 Th 0.0000 0.1567 0.2500
2 Ge 0.2001 0.4286 0.2329
3 S 0.1154 0.0607 0.6532
4 S 0.1334 0.4127 0.4961
5 S 0.1340 0.2586 0.0633